No. 1
# MgSi
Calculated powder diffractogram, Cu Kα (λ = 1.5418 Å). Input: DFT lattice parameters and positions (PBE).
Intensities are scaled so that the largest is 100.

Cell lengths 6.0976, 6.2089, 12.8913 Å; angles 98.98, 103.24, 100.09 degrees
Sites, in units of the cell vectors:
Mg (0.0000, 0.0000, 0.0000)
Mg (0.0060, 0.0833, 0.5780)
Mg (0.1153, 0.4132, 0.2961)
Mg (0.1604, 0.9380, 0.3602)
Mg (0.3054, 0.7516, 0.6363)
Mg (0.4354, 0.3574, 0.7462)
Mg (0.5265, 0.1643, 0.9843)
Mg (0.5698, 0.6762, 0.0249)
Mg (0.6605, 0.6537, 0.2573)
Mg (0.6804, 0.2201, 0.3879)
Mg (0.8186, 0.5737, 0.6581)
Mg (0.9477, 0.4672, 0.9244)
Si (0.0530, 0.6969, 0.1416)
Si (0.1443, 0.0666, 0.7972)
Si (0.2282, 0.7228, 0.8375)
Si (0.2758, 0.4058, 0.1063)
Si (0.3340, 0.3472, 0.5175)
Si (0.3432, 0.0829, 0.1955)
Si (0.5129, 0.6931, 0.4526)
Si (0.5643, 0.0775, 0.5632)
Si (0.6355, 0.7773, 0.8326)
Si (0.7345, 0.0543, 0.1860)
Si (0.7530, 0.0955, 0.7585)
Si (0.9082, 0.6484, 0.4626)

Largest 8 diffraction maxima, low angle first, 15° ≤ 2θ ≤ 90°:
2θ/deg  d_spacing  Rel. int.
31.8  2.811  51.4
35.2  2.550  44.6
35.8  2.511  44.3
36.6  2.455  47.9
36.7  2.448  57.9
37.2  2.418  89.1
42.6  2.124  100.0
45.4  1.996  44.2

=====

No. 2
# Rb2Na5Cl3O2
Calculated powder diffractogram, Cu Kα (λ = 1.5418 Å). Input: DFT lattice parameters and positions (PBE).
Intensities are scaled so that the largest is 100.

Cell lengths 13.4847, 13.4847, 13.4847 Å; angles 160.29, 160.29, 28.02 degrees
Sites, in units of the cell vectors:
Rb (0.1903, 0.1903, 0.0000)
Rb (0.8097, 0.8097, 0.0000)
Na (0.0000, 0.0000, 0.0000)
Na (0.0855, 0.5855, 0.5000)
Na (0.4145, 0.9145, 0.5000)
Na (0.5855, 0.0855, 0.5000)
Na (0.9145, 0.4145, 0.5000)
Cl (0.3248, 0.3248, 0.0000)
Cl (0.5000, 0.5000, 0.0000)
Cl (0.6752, 0.6752, 0.0000)
O (0.0862, 0.0862, 0.0000)
O (0.9138, 0.9138, 0.0000)

Largest 8 diffraction maxima, low angle first, 15° ≤ 2θ ≤ 90°:
2θ/deg  d_spacing  Rel. int.
21.8  4.080  26.9
27.3  3.266  70.3
28.2  3.167  29.5
30.8  2.905  22.1
34.3  2.614  100.0
39.0  2.308  71.0
56.4  1.632  21.9
67.7  1.384  28.8

=====

No. 3
# Ba3Sn4
Calculated powder diffractogram, Cu Kα (λ = 1.5418 Å). Input: DFT lattice parameters and positions (PBE).
Intensities are scaled so that the largest is 100.

Cell lengths 16.0726, 6.8349, 6.8349 Å; angles 44.37, 90.00, 90.00 degrees
Sites, in units of the cell vectors:
Ba (0.0000, 0.0000, 0.0000)
Ba (0.1504, 0.2868, 0.2868)
Ba (0.3490, 0.7194, 0.7194)
Ba (0.5000, 0.0064, 0.0064)
Ba (0.6510, 0.7194, 0.7194)
Ba (0.8496, 0.2868, 0.2868)
Sn (0.0000, 0.7152, 0.7152)
Sn (0.1486, 0.5729, 0.5729)
Sn (0.2547, 0.0128, 0.0128)
Sn (0.3494, 0.4299, 0.4299)
Sn (0.5000, 0.2924, 0.2924)
Sn (0.6506, 0.4299, 0.4299)
Sn (0.7453, 0.0128, 0.0128)
Sn (0.8514, 0.5729, 0.5729)

Largest 8 diffraction maxima, low angle first, 15° ≤ 2θ ≤ 90°:
2θ/deg  d_spacing  Rel. int.
25.0  3.566  51.4
27.3  3.267  54.7
29.0  3.076  98.0
32.1  2.789  100.0
32.9  2.725  48.6
34.8  2.581  59.8
48.6  1.874  32.8
53.7  1.707  33.8

=====

No. 4
# Nb2NiB
Calculated powder diffractogram, Cu Kα (λ = 1.5418 Å). Input: DFT lattice parameters and positions (PBE).
Intensities are scaled so that the largest is 100.

Cell lengths 6.7813, 6.7813, 6.7813 Å; angles 27.04, 27.04, 27.04 degrees
Sites, in units of the cell vectors:
Nb (0.2333, 0.2333, 0.2333)
Nb (0.7667, 0.7667, 0.7667)
Ni (0.0000, 0.0000, 0.0000)
B (0.5000, 0.5000, 0.5000)

Largest 8 diffraction maxima, low angle first, 15° ≤ 2θ ≤ 90°:
2θ/deg  d_spacing  Rel. int.
33.9  2.644  27.8
37.6  2.395  100.0
40.1  2.248  31.7
41.5  2.177  18.4
49.9  1.827  28.1
58.2  1.585  30.1
71.4  1.321  27.8
74.0  1.281  18.7

=====

No. 5
# CeCo4Ag
Calculated powder diffractogram, Cu Kα (λ = 1.5418 Å). Input: DFT lattice parameters and positions (PBE).
Intensities are scaled so that the largest is 100.

Cell lengths 4.9920, 4.9920, 4.9920 Å; angles 60.00, 60.00, 60.00 degrees
Sites, in units of the cell vectors:
Ce (0.0000, 0.0000, 0.0000)
Co (0.1256, 0.6248, 0.6248)
Co (0.6248, 0.1256, 0.6248)
Co (0.6248, 0.6248, 0.1256)
Co (0.6248, 0.6248, 0.6248)
Ag (0.2500, 0.2500, 0.2500)

Largest 8 diffraction maxima, low angle first, 15° ≤ 2θ ≤ 90°:
2θ/deg  d_spacing  Rel. int.
21.8  4.076  6.4
36.0  2.496  55.6
42.5  2.129  100.0
44.5  2.038  19.6
64.7  1.441  19.3
69.1  1.359  29.3
76.3  1.248  22.1
87.4  1.116  8.6

=====

No. 6
# RbMo2C
Calculated powder diffractogram, Cu Kα (λ = 1.5418 Å). Input: DFT lattice parameters and positions (PBE).
Intensities are scaled so that the largest is 100.

Cell lengths 6.4542, 6.4542, 6.4542 Å; angles 119.89, 119.89, 90.20 degrees
Sites, in units of the cell vectors:
Rb (0.3750, 0.6250, 0.7500)
Rb (0.6250, 0.3750, 0.2500)
Mo (0.0000, 0.0000, 0.0000)
Mo (0.0000, 0.0000, 0.5000)
Mo (0.0000, 0.5000, 0.0000)
Mo (0.5000, 0.0000, 0.5000)
C (0.1250, 0.8750, 0.2500)
C (0.8750, 0.1250, 0.7500)

Largest 8 diffraction maxima, low angle first, 15° ≤ 2θ ≤ 90°:
2θ/deg  d_spacing  Rel. int.
16.8  5.273  16.2
27.6  3.229  32.4
32.5  2.754  100.0
34.0  2.636  49.4
48.9  1.864  12.3
52.0  1.759  25.9
57.1  1.614  23.4
68.0  1.378  12.4

=====

No. 7
# ErGa5Pd7
Calculated powder diffractogram, Cu Kα (λ = 1.5418 Å). Input: DFT lattice parameters and positions (PBE).
Intensities are scaled so that the largest is 100.

Cell lengths 6.8246, 6.8246, 6.8246 Å; angles 133.99, 97.41, 100.16 degrees
Sites, in units of the cell vectors:
Er (0.0000, 0.0000, 0.0000)
Ga (0.4804, 0.4932, 0.4948)
Ga (0.4804, 0.9856, 0.9872)
Ga (0.7652, 0.2652, 0.5000)
Ga (0.9984, 0.4932, 0.0128)
Ga (0.9984, 0.9856, 0.5052)
Pd (0.1842, 0.4804, 0.7037)
Pd (0.2182, 0.7182, 0.5000)
Pd (0.3371, 0.3371, 0.0000)
Pd (0.3399, 0.0018, 0.3381)
Pd (0.6637, 0.0018, 0.6619)
Pd (0.6639, 0.6639, 0.0000)
Pd (0.7767, 0.4804, 0.2963)

Largest 8 diffraction maxima, low angle first, 15° ≤ 2θ ≤ 90°:
2θ/deg  d_spacing  Rel. int.
33.6  2.667  53.4
34.3  2.616  69.6
39.3  2.295  47.0
39.6  2.278  51.8
40.1  2.246  100.0
40.5  2.226  74.1
41.2  2.190  50.0
44.6  2.033  89.1

=====

No. 8
# Mn3Pt12W
Calculated powder diffractogram, Cu Kα (λ = 1.5418 Å). Input: DFT lattice parameters and positions (PBE).
Intensities are scaled so that the largest is 100.

Cell lengths 3.9448, 3.9448, 15.7747 Å; angles 90.00, 90.00, 90.00 degrees
Sites, in units of the cell vectors:
Mn (0.0000, 0.0000, 0.0000)
Mn (0.0000, 0.0000, 0.2450)
Mn (0.0000, 0.0000, 0.7550)
Pt (0.0000, 0.5000, 0.1242)
Pt (0.0000, 0.5000, 0.3770)
Pt (0.0000, 0.5000, 0.6230)
Pt (0.0000, 0.5000, 0.8758)
Pt (0.5000, 0.0000, 0.1242)
Pt (0.5000, 0.0000, 0.3770)
Pt (0.5000, 0.0000, 0.6230)
Pt (0.5000, 0.0000, 0.8758)
Pt (0.5000, 0.5000, 0.0000)
Pt (0.5000, 0.5000, 0.2501)
Pt (0.5000, 0.5000, 0.5000)
Pt (0.5000, 0.5000, 0.7499)
W (0.0000, 0.0000, 0.5000)

Largest 8 diffraction maxima, low angle first, 15° ≤ 2θ ≤ 90°:
2θ/deg  d_spacing  Rel. int.
22.5  3.944  7.6
32.1  2.789  6.5
39.6  2.277  100.0
46.0  1.972  49.0
51.8  1.764  3.6
67.1  1.395  31.9
80.8  1.189  38.4
85.2  1.139  11.4

=====

No. 9
# BaCu4O7
Calculated powder diffractogram, Cu Kα (λ = 1.5418 Å). Input: DFT lattice parameters and positions (PBE).
Intensities are scaled so that the largest is 100.

Cell lengths 6.3601, 6.3601, 10.3608 Å; angles 90.00, 90.00, 120.00 degrees
Sites, in units of the cell vectors:
Ba (0.3333, 0.6667, 0.0000)
Ba (0.6667, 0.3333, 0.5000)
Cu (0.0000, 0.0000, 0.4156)
Cu (0.0000, 0.0000, 0.9156)
Cu (0.1687, 0.3374, 0.6650)
Cu (0.1687, 0.8313, 0.6650)
Cu (0.3374, 0.1687, 0.1650)
Cu (0.6626, 0.8313, 0.6650)
Cu (0.8313, 0.1687, 0.1650)
Cu (0.8313, 0.6626, 0.1650)
O (0.0000, 0.0000, 0.2281)
O (0.0000, 0.0000, 0.7281)
O (0.0116, 0.5058, 0.7032)
O (0.1537, 0.3073, 0.4852)
O (0.1537, 0.8463, 0.4852)
O (0.3073, 0.1537, 0.9852)
O (0.4942, 0.5058, 0.7032)
O (0.4942, 0.9884, 0.7032)
O (0.5058, 0.0116, 0.2032)
O (0.5058, 0.4942, 0.2032)
O (0.6927, 0.8463, 0.4852)
O (0.8463, 0.1537, 0.9852)
O (0.8463, 0.6927, 0.9852)
O (0.9884, 0.4942, 0.2032)

Largest 8 diffraction maxima, low angle first, 15° ≤ 2θ ≤ 90°:
2θ/deg  d_spacing  Rel. int.
17.1  5.180  26.2
18.2  4.863  41.6
30.6  2.926  42.3
33.1  2.710  59.5
33.7  2.662  100.0
34.6  2.590  18.1
55.5  1.656  22.3
58.0  1.590  29.3

=====

No. 10
# SnB6N6
Calculated powder diffractogram, Cu Kα (λ = 1.5418 Å). Input: DFT lattice parameters and positions (PBE).
Intensities are scaled so that the largest is 100.

Cell lengths 4.6850, 4.6850, 4.6850 Å; angles 90.00, 90.00, 90.00 degrees
Sites, in units of the cell vectors:
Sn (0.0000, 0.0000, 0.0000)
B (0.0000, 0.2456, 0.5000)
B (0.0000, 0.7544, 0.5000)
B (0.2456, 0.5000, 0.0000)
B (0.5000, 0.0000, 0.2456)
B (0.5000, 0.0000, 0.7544)
B (0.7544, 0.5000, 0.0000)
N (0.0000, 0.5000, 0.2561)
N (0.0000, 0.5000, 0.7439)
N (0.2561, 0.0000, 0.5000)
N (0.5000, 0.2561, 0.0000)
N (0.5000, 0.7439, 0.0000)
N (0.7439, 0.0000, 0.5000)

Largest 8 diffraction maxima, low angle first, 15° ≤ 2θ ≤ 90°:
2θ/deg  d_spacing  Rel. int.
18.9  4.685  100.0
26.9  3.313  31.9
33.1  2.705  35.4
38.4  2.343  31.2
43.2  2.095  51.3
47.5  1.913  65.3
59.2  1.562  25.4
76.0  1.252  31.8

=====

No. 11
# ScMo5
Calculated powder diffractogram, Cu Kα (λ = 1.5418 Å). Input: DFT lattice parameters and positions (PBE).
Intensities are scaled so that the largest is 100.

Cell lengths 6.9673, 6.9673, 4.5664 Å; angles 90.00, 90.00, 153.63 degrees
Sites, in units of the cell vectors:
Sc (0.0000, 0.0000, 0.0000)
Mo (0.1646, 0.8354, 0.5000)
Mo (0.3259, 0.6741, 0.0000)
Mo (0.5000, 0.5000, 0.5000)
Mo (0.6741, 0.3259, 0.0000)
Mo (0.8354, 0.1646, 0.5000)

Largest 8 diffraction maxima, low angle first, 15° ≤ 2θ ≤ 90°:
2θ/deg  d_spacing  Rel. int.
39.5  2.283  20.9
39.9  2.260  100.0
57.3  1.607  12.9
58.0  1.589  7.2
71.9  1.314  13.4
72.4  1.305  19.0
72.7  1.300  6.4
86.0  1.130  10.3

=====

No. 12
# Na5B7C3
Calculated powder diffractogram, Cu Kα (λ = 1.5418 Å). Input: DFT lattice parameters and positions (PBE).
Intensities are scaled so that the largest is 100.

Cell lengths 7.6912, 7.6912, 9.0488 Å; angles 107.72, 107.72, 37.89 degrees
Sites, in units of the cell vectors:
Na (0.0491, 0.0491, 0.2466)
Na (0.1488, 0.1506, 0.7516)
Na (0.2495, 0.2482, 0.2472)
Na (0.3513, 0.3502, 0.7550)
Na (0.4464, 0.4520, 0.2461)
Na (0.5480, 0.5536, 0.7539)
Na (0.6498, 0.6487, 0.2450)
Na (0.7518, 0.7505, 0.7528)
Na (0.8494, 0.8512, 0.2484)
Na (0.9509, 0.9509, 0.7534)
B (0.1339, 0.4662, 0.9996)
B (0.1675, 0.8325, 0.5000)
B (0.2309, 0.5678, 0.4995)
B (0.3159, 0.6841, 0.0000)
B (0.3679, 0.0440, 0.5003)
B (0.4322, 0.7691, 0.5005)
B (0.5338, 0.8661, 0.0004)
B (0.5708, 0.2114, 0.4996)
B (0.6674, 0.3326, 0.0000)
B (0.7306, 0.0577, 0.9993)
B (0.7886, 0.4292, 0.5004)
B (0.8165, 0.1835, 0.5000)
B (0.9423, 0.2694, 0.0007)
B (0.9560, 0.6321, 0.4997)
C (0.0420, 0.3623, 0.5007)
C (0.0649, 0.7318, 0.9987)
C (0.2682, 0.9351, 0.0013)
C (0.4685, 0.1255, 0.9995)
C (0.6377, 0.9580, 0.4993)
C (0.8745, 0.5315, 0.0005)

Largest 8 diffraction maxima, low angle first, 15° ≤ 2θ ≤ 90°:
2θ/deg  d_spacing  Rel. int.
35.7  2.514  19.2
41.7  2.168  100.0
41.9  2.157  50.9
42.2  2.142  37.9
64.5  1.445  17.3
76.8  1.242  12.3
79.5  1.206  11.4
80.1  1.198  16.9